Structure and computed powder diffractogram of Pr2Sc2CI2Cl3 (a GGA-PBE-relaxed structure; Cu Kα).
Lines closer than 0.1° are merged.

Crystal structure
```
10
Lattice="9.136 -1.891 0.000 9.136 1.891 0.000 -1.567 0.000 7.766" Properties=species:S:1:pos:R:3 pbc="T T T"
Pr 2.424 0.000 0.603
Pr 14.281 0.000 7.163
Sc 8.804 0.000 1.493
Sc 7.901 0.000 6.272
C 0.000 0.000 0.000
I 5.749 0.000 1.718
I 10.956 0.000 6.047
Cl -0.783 0.000 3.883
Cl 5.585 0.000 5.126
Cl 11.120 0.000 2.640
```

Main lines, low angle first (2θ from 10° to 90°):
2θ 11.39, I = 94; 2θ 19.83, I = 42; 2θ 24.84, I = 29; 2θ 26.25, I = 57; 2θ 29.93, I = 47; 2θ 32.74, I = 100; 2θ 34.09, I = 30; 2θ 34.77, I = 40; 2θ 38.33, I = 28; 2θ 48.14, I = 27